Entry 1:
Theoretical X-ray powder pattern
Compound: PaPt5Au2
Radiation: Cu Kα (λ = 1.5418 Å)
Structure: a GGA-PBE-relaxed structure
Peak positions follow from Bragg's law for the DFT cell and can differ from measured ones.

Atomic structure:
a b c (Å): 4.1750 4.1750 16.1522
angles (deg): 90.00 90.00 90.00
Space group I4/mmm (No. 139)
Symmetry-distinct sites (fractional):
Pa: 0.0000 0.0000 0.0000 [2 per cell]
Pt: 0.0000 0.0000 0.5000 [2 per cell]
Pt: 0.0000 0.5000 0.1225 [8 per cell]
Au: 0.0000 0.0000 0.2547 [4 per cell]

Peak list (7 most intense, 2θ = 10–80°, by angle)
hkl 1 1 4, 2θ = 37.7°, I 100
hkl 2 0 0, 2θ = 43.3°, I 34
hkl 0 0 8, 2θ = 44.9°, I 16
hkl 2 2 0, 2θ = 63.0°, I 12
hkl 2 0 8, 2θ = 64.2°, I 22
hkl 3 1 4, 2θ = 75.8°, I 27
hkl 1 1 12, 2θ = 78.0°, I 12


Entry 2:
Theoretical X-ray powder pattern
Compound: Li2NdSeN
Radiation: Cu Kα (λ = 1.5418 Å)
Structure: a GGA-PBE-relaxed structure
Peak positions follow from Bragg's law for the DFT cell and can differ from measured ones.

Atomic structure:
a b c (Å): 6.0014 6.0014 9.6074
angles (deg): 90.00 90.00 90.00
Space group I4cm (No. 108)
Symmetry-distinct sites (fractional):
Li: 0.1921 0.3079 0.0000 [8 per cell]
Nd: 0.0000 0.0000 0.2500 [4 per cell]
Se: 0.0000 0.5000 0.2506 [4 per cell]
N: 0.0000 0.0000 0.0002 [4 per cell]

Peak list (10 most intense, 2θ = 10–80°, by angle)
hkl 0 0 2, 2θ = 18.5°, I 100
hkl 1 1 0, 2θ = 20.9°, I 23
hkl 2 0 0, 2θ = 29.8°, I 84
hkl 2 0 2, 2θ = 35.3°, I 96
hkl 0 0 4, 2θ = 37.4°, I 26
hkl 2 2 0, 2θ = 42.6°, I 35
hkl 2 2 2, 2θ = 46.8°, I 38
hkl 2 0 4, 2θ = 48.6°, I 42
hkl 2 2 4, 2θ = 58.0°, I 27
hkl 4 2 2, 2θ = 73.2°, I 22